Starting from a GGA+U-relaxed structure, the X-ray diffraction stick pattern of MgTi8Ni8O24 was simulated for Cu Kα, 1.54184 Å.
Lines closer than 0.1° are merged.

Atomic structure:
Cell lengths 5.626, 9.092, 9.103 Å; angles 68.20, 83.81, 83.90 degrees
Space group P1 (No. 1)
Inequivalent atoms, fractional coordinates:
Mg 0.000 0.000 0.000 (multiplicity 1)
Ti 0.333 0.593 0.586 (multiplicity 1)
Ti 0.335 0.350 0.339 (multiplicity 1)
Ti 0.402 0.753 0.232 (multiplicity 1)
Ti 0.410 0.239 0.743 (multiplicity 1)
Ti 0.579 0.157 0.136 (multiplicity 1)
Ti 0.832 0.591 0.093 (multiplicity 1)
Ti 0.834 0.101 0.569 (multiplicity 1)
Ti 0.899 0.736 0.729 (multiplicity 1)
Ni 0.295 0.837 0.820 (multiplicity 1)
Ni 0.418 0.505 0.978 (multiplicity 1)
Ni 0.419 0.991 0.487 (multiplicity 1)
Ni 0.630 0.928 0.914 (multiplicity 1)
Ni 0.816 0.834 0.344 (multiplicity 1)
Ni 0.818 0.349 0.827 (multiplicity 1)
Ni 0.921 0.492 0.488 (multiplicity 1)
Ni 0.962 0.245 0.233 (multiplicity 1)
O 0.094 0.949 0.624 (multiplicity 1)
O 0.119 0.460 0.135 (multiplicity 1)
O 0.122 0.863 0.205 (multiplicity 1)
O 0.142 0.384 0.691 (multiplicity 1)
O 0.259 0.641 0.773 (multiplicity 1)
O 0.282 0.545 0.383 (multiplicity 1)
O 0.294 0.045 0.857 (multiplicity 1)
O 0.303 0.156 0.282 (multiplicity 1)
O 0.460 0.783 0.442 (multiplicity 1)
O 0.461 0.289 0.940 (multiplicity 1)
O 0.471 0.701 0.043 (multiplicity 1)
O 0.472 0.211 0.534 (multiplicity 1)
O 0.606 0.454 0.632 (multiplicity 1)
O 0.613 0.949 0.142 (multiplicity 1)
O 0.615 0.382 0.186 (multiplicity 1)
O 0.628 0.883 0.679 (multiplicity 1)
O 0.763 0.054 0.371 (multiplicity 1)
O 0.768 0.632 0.278 (multiplicity 1)
O 0.773 0.553 0.880 (multiplicity 1)
O 0.774 0.145 0.761 (multiplicity 1)
O 0.904 0.197 0.045 (multiplicity 1)
O 0.954 0.787 0.941 (multiplicity 1)
O 0.966 0.687 0.547 (multiplicity 1)
O 0.985 0.286 0.443 (multiplicity 1)

Principal peaks in the range 15° ≤ 2θ ≤ 90°, sorted by position:
index, Position (°2θ), d/Å, Rel. int.
2 0 0, 32.09, 2.789, 31
1 3 1, 32.26, 2.775, 61
1 3 2, 33.31, 2.690, 18
0 2 -2, 35.19, 2.550, 52
-1 1 3, 35.30, 2.543, 100
2 0 -2, 40.06, 2.251, 31
3 -1 1, 52.34, 1.748, 23
3 1 -1, 52.42, 1.746, 44
2 4 0, 52.55, 1.741, 24
1 5 3, 52.79, 1.734, 46
1 -5 1, 63.21, 1.471, 44
-2 4 4, 63.43, 1.467, 22


Starting from a GGA+U-relaxed structure, the X-ray diffraction stick pattern of MgTi8Ni8O24 was simulated for Cu Kα, 1.54184 Å.
Lines closer than 0.1° are merged.

Atomic structure:
Cell lengths 5.544, 9.212, 9.279 Å; angles 67.66, 84.26, 83.13 degrees
Space group P1 (No. 1)
Inequivalent atoms, fractional coordinates:
Mg 0.000 0.000 0.000 (multiplicity 1)
Ti 0.016 0.594 0.916 (multiplicity 1)
Ti 0.425 0.950 0.274 (multiplicity 1)
Ti 0.475 0.588 0.417 (multiplicity 1)
Ti 0.505 0.132 0.917 (multiplicity 1)
Ti 0.863 0.934 0.761 (multiplicity 1)
Ti 0.893 0.452 0.260 (multiplicity 1)
Ti 0.990 0.349 0.666 (multiplicity 1)
Ti 0.997 0.087 0.428 (multiplicity 1)
Ni 0.390 0.194 0.524 (multiplicity 1)
Ni 0.402 0.708 0.018 (multiplicity 1)
Ni 0.405 0.457 0.769 (multiplicity 1)
Ni 0.468 0.845 0.670 (multiplicity 1)
Ni 0.490 0.344 0.175 (multiplicity 1)
Ni 0.885 0.694 0.536 (multiplicity 1)
Ni 0.927 0.270 0.038 (multiplicity 1)
Ni 0.989 0.798 0.253 (multiplicity 1)
O 0.034 0.308 0.478 (multiplicity 1)
O 0.040 0.814 0.945 (multiplicity 1)
O 0.041 0.427 0.845 (multiplicity 1)
O 0.057 0.909 0.387 (multiplicity 1)
O 0.167 0.998 0.628 (multiplicity 1)
O 0.180 0.496 0.126 (multiplicity 1)
O 0.200 0.545 0.561 (multiplicity 1)
O 0.248 0.076 0.070 (multiplicity 1)
O 0.338 0.649 0.826 (multiplicity 1)
O 0.343 0.240 0.733 (multiplicity 1)
O 0.347 0.135 0.326 (multiplicity 1)
O 0.356 0.744 0.233 (multiplicity 1)
O 0.521 0.405 0.374 (multiplicity 1)
O 0.539 0.797 0.467 (multiplicity 1)
O 0.550 0.922 0.878 (multiplicity 1)
O 0.560 0.302 0.971 (multiplicity 1)
O 0.699 0.981 0.141 (multiplicity 1)
O 0.701 0.045 0.564 (multiplicity 1)
O 0.708 0.483 0.626 (multiplicity 1)
O 0.717 0.553 0.069 (multiplicity 1)
O 0.819 0.613 0.330 (multiplicity 1)
O 0.837 0.739 0.735 (multiplicity 1)
O 0.842 0.241 0.257 (multiplicity 1)
O 0.856 0.145 0.804 (multiplicity 1)

Principal peaks in the range 15° ≤ 2θ ≤ 90°, sorted by position:
index, Position (°2θ), d/Å, Rel. int.
0 2 2, 23.42, 3.799, 34
1 -1 1, 23.90, 3.723, 30
1 3 1, 31.92, 2.804, 100
2 0 0, 32.59, 2.747, 56
-1 1 3, 34.82, 2.577, 72
-1 3 1, 35.32, 2.541, 34
0 4 4, 47.80, 1.903, 19
2 2 -2, 48.00, 1.895, 20
1 5 3, 51.92, 1.761, 16
2 0 4, 52.59, 1.740, 17
1 1 -5, 62.10, 1.495, 23
-2 4 4, 62.99, 1.476, 17


Starting from a GGA+U-relaxed structure, the X-ray diffraction stick pattern of MgTi8Ni8O24 was simulated for Cu Kα, 1.54184 Å.
Lines closer than 0.1° are merged.

Atomic structure:
Cell lengths 5.706, 8.948, 9.177 Å; angles 70.03, 82.61, 86.76 degrees
Space group P1 (No. 1)
Inequivalent atoms, fractional coordinates:
Mg 0.000 0.000 0.000 (multiplicity 1)
Ti 0.328 0.576 0.763 (multiplicity 1)
Ti 0.346 0.079 0.247 (multiplicity 1)
Ti 0.391 0.801 0.021 (multiplicity 1)
Ti 0.442 0.720 0.418 (multiplicity 1)
Ti 0.450 0.237 0.878 (multiplicity 1)
Ti 0.835 0.084 0.717 (multiplicity 1)
Ti 0.869 0.566 0.249 (multiplicity 1)
Ti 0.935 0.237 0.379 (multiplicity 1)
Ni 0.342 0.325 0.493 (multiplicity 1)
Ni 0.415 0.981 0.642 (multiplicity 1)
Ni 0.461 0.466 0.155 (multiplicity 1)
Ni 0.846 0.325 0.002 (multiplicity 1)
Ni 0.856 0.804 0.546 (multiplicity 1)
Ni 0.910 0.927 0.277 (multiplicity 1)
Ni 0.934 0.477 0.642 (multiplicity 1)
Ni 0.940 0.724 0.908 (multiplicity 1)
O 0.007 0.657 0.720 (multiplicity 1)
O 0.026 0.770 0.107 (multiplicity 1)
O 0.096 0.952 0.792 (multiplicity 1)
O 0.141 0.430 0.292 (multiplicity 1)
O 0.166 0.361 0.860 (multiplicity 1)
O 0.177 0.852 0.385 (multiplicity 1)
O 0.288 0.125 0.433 (multiplicity 1)
O 0.297 0.530 0.544 (multiplicity 1)
O 0.318 0.629 0.946 (multiplicity 1)
O 0.327 0.023 0.028 (multiplicity 1)
O 0.480 0.179 0.698 (multiplicity 1)
O 0.488 0.764 0.612 (multiplicity 1)
O 0.491 0.263 0.101 (multiplicity 1)
O 0.503 0.681 0.205 (multiplicity 1)
O 0.588 0.935 0.278 (multiplicity 1)
O 0.611 0.441 0.785 (multiplicity 1)
O 0.634 0.873 0.863 (multiplicity 1)
O 0.656 0.367 0.354 (multiplicity 1)
O 0.781 0.154 0.902 (multiplicity 1)
O 0.782 0.032 0.539 (multiplicity 1)
O 0.791 0.631 0.435 (multiplicity 1)
O 0.806 0.521 0.062 (multiplicity 1)
O 0.977 0.273 0.589 (multiplicity 1)
O 0.997 0.165 0.204 (multiplicity 1)

Principal peaks in the range 15° ≤ 2θ ≤ 90°, sorted by position:
index, Position (°2θ), d/Å, Rel. int.
1 -1 1, 22.52, 3.949, 18
1 1 -1, 23.98, 3.711, 17
0 2 2, 24.14, 3.686, 23
2 0 0, 31.62, 2.829, 100
1 3 1, 33.22, 2.697, 47
0 2 -2, 34.57, 2.595, 31
-1 3 1, 34.81, 2.578, 38
-1 1 3, 35.32, 2.541, 22
2 -2 2, 45.97, 1.974, 16
3 -1 1, 50.44, 1.809, 19
2 4 0, 53.99, 1.698, 17
1 5 3, 54.23, 1.691, 16


Starting from a GGA+U-relaxed structure, the X-ray diffraction stick pattern of MgTi8Ni8O24 was simulated for Cu Kα, 1.54184 Å.
Lines closer than 0.1° are merged.

Atomic structure:
Cell lengths 5.632, 9.071, 9.100 Å; angles 68.38, 84.40, 83.99 degrees
Space group P1 (No. 1)
Inequivalent atoms, fractional coordinates:
Mg 0.000 0.000 0.000 (multiplicity 1)
Ti 0.344 0.592 0.577 (multiplicity 1)
Ti 0.402 0.235 0.747 (multiplicity 1)
Ti 0.573 0.157 0.148 (multiplicity 1)
Ti 0.803 0.590 0.099 (multiplicity 1)
Ti 0.824 0.094 0.594 (multiplicity 1)
Ti 0.831 0.836 0.339 (multiplicity 1)
Ti 0.904 0.729 0.738 (multiplicity 1)
Ti 0.966 0.253 0.231 (multiplicity 1)
Ni 0.296 0.829 0.826 (multiplicity 1)
Ni 0.338 0.344 0.351 (multiplicity 1)
Ni 0.408 0.741 0.242 (multiplicity 1)
Ni 0.410 0.501 0.981 (multiplicity 1)
Ni 0.415 0.988 0.498 (multiplicity 1)
Ni 0.631 0.921 0.921 (multiplicity 1)
Ni 0.816 0.346 0.831 (multiplicity 1)
Ni 0.926 0.485 0.491 (multiplicity 1)
O 0.093 0.944 0.631 (multiplicity 1)
O 0.098 0.869 0.217 (multiplicity 1)
O 0.104 0.453 0.128 (multiplicity 1)
O 0.137 0.375 0.698 (multiplicity 1)
O 0.253 0.634 0.772 (multiplicity 1)
O 0.268 0.538 0.399 (multiplicity 1)
O 0.293 0.148 0.286 (multiplicity 1)
O 0.298 0.039 0.867 (multiplicity 1)
O 0.468 0.782 0.451 (multiplicity 1)
O 0.470 0.285 0.944 (multiplicity 1)
O 0.472 0.696 0.036 (multiplicity 1)
O 0.479 0.188 0.555 (multiplicity 1)
O 0.609 0.446 0.634 (multiplicity 1)
O 0.630 0.379 0.187 (multiplicity 1)
O 0.631 0.951 0.144 (multiplicity 1)
O 0.634 0.879 0.684 (multiplicity 1)
O 0.768 0.551 0.877 (multiplicity 1)
O 0.770 0.045 0.367 (multiplicity 1)
O 0.772 0.638 0.283 (multiplicity 1)
O 0.788 0.136 0.782 (multiplicity 1)
O 0.920 0.199 0.052 (multiplicity 1)
O 0.953 0.780 0.944 (multiplicity 1)
O 0.958 0.277 0.446 (multiplicity 1)
O 0.958 0.694 0.540 (multiplicity 1)

Principal peaks in the range 15° ≤ 2θ ≤ 90°, sorted by position:
index, Position (°2θ), d/Å, Rel. int.
2 0 0, 32.02, 2.795, 32
1 1 3, 32.34, 2.768, 60
0 2 -2, 35.13, 2.554, 100
-1 3 1, 35.32, 2.541, 48
3 1 -1, 52.15, 1.754, 22
3 -1 1, 52.37, 1.747, 23
2 4 0, 52.49, 1.743, 22
2 0 4, 52.64, 1.739, 21
1 3 5, 52.95, 1.729, 43
1 1 -5, 62.91, 1.477, 22
-2 4 4, 63.24, 1.470, 21
1 -5 1, 63.32, 1.469, 22


Starting from a GGA+U-relaxed structure, the X-ray diffraction stick pattern of MgTi8Ni8O24 was simulated for Cu Kα, 1.54184 Å.
Lines closer than 0.1° are merged.

Atomic structure:
Cell lengths 5.573, 9.083, 9.213 Å; angles 67.51, 83.93, 84.39 degrees
Space group P1 (No. 1)
Inequivalent atoms, fractional coordinates:
Mg 0.000 0.000 0.000 (multiplicity 1)
Ti 0.166 0.180 0.660 (multiplicity 1)
Ti 0.178 0.648 0.184 (multiplicity 1)
Ti 0.185 0.398 0.923 (multiplicity 1)
Ti 0.255 0.806 0.802 (multiplicity 1)
Ti 0.281 0.303 0.317 (multiplicity 1)
Ti 0.676 0.175 0.166 (multiplicity 1)
Ti 0.690 0.658 0.671 (multiplicity 1)
Ti 0.762 0.812 0.323 (multiplicity 1)
Ni 0.162 0.917 0.421 (multiplicity 1)
Ni 0.274 0.564 0.567 (multiplicity 1)
Ni 0.414 0.947 0.131 (multiplicity 1)
Ni 0.643 0.909 0.898 (multiplicity 1)
Ni 0.683 0.412 0.419 (multiplicity 1)
Ni 0.762 0.067 0.567 (multiplicity 1)
Ni 0.762 0.311 0.813 (multiplicity 1)
Ni 0.775 0.566 0.065 (multiplicity 1)
O 0.127 0.607 0.953 (multiplicity 1)
O 0.129 0.125 0.460 (multiplicity 1)
O 0.131 0.213 0.855 (multiplicity 1)
O 0.131 0.714 0.356 (multiplicity 1)
O 0.290 0.842 0.012 (multiplicity 1)
O 0.312 0.763 0.624 (multiplicity 1)
O 0.320 0.356 0.521 (multiplicity 1)
O 0.333 0.277 0.114 (multiplicity 1)
O 0.439 0.014 0.708 (multiplicity 1)
O 0.455 0.458 0.777 (multiplicity 1)
O 0.465 0.523 0.215 (multiplicity 1)
O 0.499 0.963 0.314 (multiplicity 1)
O 0.612 0.706 0.855 (multiplicity 1)
O 0.628 0.218 0.357 (multiplicity 1)
O 0.635 0.620 0.468 (multiplicity 1)
O 0.660 0.098 0.976 (multiplicity 1)
O 0.820 0.847 0.532 (multiplicity 1)
O 0.830 0.772 0.125 (multiplicity 1)
O 0.831 0.260 0.617 (multiplicity 1)
O 0.834 0.355 0.027 (multiplicity 1)
O 0.951 0.015 0.219 (multiplicity 1)
O 0.960 0.520 0.718 (multiplicity 1)
O 0.978 0.954 0.782 (multiplicity 1)
O 0.995 0.461 0.266 (multiplicity 1)

Principal peaks in the range 15° ≤ 2θ ≤ 90°, sorted by position:
index, Position (°2θ), d/Å, Rel. int.
1 -1 1, 23.69, 3.755, 36
1 1 -1, 23.86, 3.730, 29
1 1 3, 32.01, 2.796, 69
2 0 0, 32.37, 2.766, 56
1 3 1, 32.52, 2.754, 76
-1 1 3, 35.02, 2.562, 70
0 2 -2, 35.29, 2.543, 100
2 0 -2, 40.21, 2.243, 36
0 4 4, 48.23, 1.887, 31
2 2 -2, 48.83, 1.865, 30
1 3 5, 52.17, 1.753, 34
2 4 0, 53.19, 1.722, 29


Starting from a GGA+U-relaxed structure, the X-ray diffraction stick pattern of MgTi8Ni8O24 was simulated for Cu Kα, 1.54184 Å.
Lines closer than 0.1° are merged.

Atomic structure:
Cell lengths 5.572, 9.055, 9.138 Å; angles 68.12, 83.93, 83.98 degrees
Space group P1 (No. 1)
Inequivalent atoms, fractional coordinates:
Mg 0.000 0.000 0.000 (multiplicity 1)
Ti 0.053 0.398 0.890 (multiplicity 1)
Ti 0.055 0.881 0.392 (multiplicity 1)
Ti 0.480 0.229 0.745 (multiplicity 1)
Ti 0.483 0.750 0.233 (multiplicity 1)
Ti 0.552 0.633 0.639 (multiplicity 1)
Ti 0.557 0.383 0.391 (multiplicity 1)
Ti 0.613 0.903 0.891 (multiplicity 1)
Ti 0.990 0.240 0.247 (multiplicity 1)
Ni 0.069 0.144 0.640 (multiplicity 1)
Ni 0.075 0.634 0.146 (multiplicity 1)
Ni 0.271 0.814 0.816 (multiplicity 1)
Ni 0.468 0.992 0.485 (multiplicity 1)
Ni 0.471 0.486 0.997 (multiplicity 1)
Ni 0.576 0.140 0.144 (multiplicity 1)
Ni 0.940 0.730 0.734 (multiplicity 1)
Ni 0.969 0.486 0.490 (multiplicity 1)
O 0.112 0.091 0.436 (multiplicity 1)
O 0.116 0.698 0.345 (multiplicity 1)
O 0.117 0.588 0.939 (multiplicity 1)
O 0.132 0.206 0.844 (multiplicity 1)
O 0.258 0.285 0.101 (multiplicity 1)
O 0.273 0.773 0.587 (multiplicity 1)
O 0.284 0.340 0.533 (multiplicity 1)
O 0.302 0.844 0.047 (multiplicity 1)
O 0.422 0.930 0.289 (multiplicity 1)
O 0.424 0.441 0.778 (multiplicity 1)
O 0.433 0.031 0.699 (multiplicity 1)
O 0.433 0.533 0.205 (multiplicity 1)
O 0.602 0.695 0.838 (multiplicity 1)
O 0.607 0.595 0.442 (multiplicity 1)
O 0.619 0.199 0.343 (multiplicity 1)
O 0.623 0.099 0.940 (multiplicity 1)
O 0.752 0.286 0.596 (multiplicity 1)
O 0.770 0.786 0.103 (multiplicity 1)
O 0.772 0.835 0.528 (multiplicity 1)
O 0.790 0.340 0.037 (multiplicity 1)
O 0.908 0.523 0.700 (multiplicity 1)
O 0.922 0.427 0.293 (multiplicity 1)
O 0.931 0.033 0.208 (multiplicity 1)
O 0.936 0.936 0.796 (multiplicity 1)

Principal peaks in the range 15° ≤ 2θ ≤ 90°, sorted by position:
index, Position (°2θ), d/Å, Rel. int.
0 2 2, 23.77, 3.743, 46
1 1 3, 32.21, 2.779, 39
2 0 0, 32.44, 2.760, 81
-1 1 3, 35.24, 2.547, 100
-1 3 1, 35.47, 2.531, 48
2 -2 0, 40.32, 2.237, 30
2 -2 2, 48.61, 1.873, 32
2 0 4, 52.56, 1.741, 24
1 3 5, 52.66, 1.738, 22
3 1 -1, 52.84, 1.733, 43
1 5 3, 52.98, 1.728, 43
-2 4 4, 63.54, 1.464, 43


Starting from a GGA+U-relaxed structure, the X-ray diffraction stick pattern of MgTi8Ni8O24 was simulated for Cu Kα, 1.54184 Å.
Lines closer than 0.1° are merged.

Atomic structure:
Cell lengths 5.574, 9.053, 9.151 Å; angles 68.03, 83.96, 84.37 degrees
Space group P1 (No. 1)
Inequivalent atoms, fractional coordinates:
Mg 0.000 0.000 0.000 (multiplicity 1)
Ti 0.006 0.759 0.739 (multiplicity 1)
Ti 0.411 0.116 0.094 (multiplicity 1)
Ti 0.426 0.363 0.329 (multiplicity 1)
Ti 0.428 0.603 0.602 (multiplicity 1)
Ti 0.509 0.763 0.233 (multiplicity 1)
Ti 0.567 0.255 0.755 (multiplicity 1)
Ti 0.899 0.113 0.559 (multiplicity 1)
Ti 0.935 0.607 0.097 (multiplicity 1)
Ni 0.017 0.256 0.235 (multiplicity 1)
Ni 0.022 0.510 0.491 (multiplicity 1)
Ni 0.225 0.169 0.678 (multiplicity 1)
Ni 0.423 0.852 0.845 (multiplicity 1)
Ni 0.511 0.996 0.485 (multiplicity 1)
Ni 0.530 0.512 0.989 (multiplicity 1)
Ni 0.916 0.850 0.345 (multiplicity 1)
Ni 0.947 0.362 0.848 (multiplicity 1)
O 0.053 0.306 0.439 (multiplicity 1)
O 0.066 0.797 0.946 (multiplicity 1)
O 0.073 0.704 0.556 (multiplicity 1)
O 0.087 0.201 0.041 (multiplicity 1)
O 0.198 0.963 0.635 (multiplicity 1)
O 0.219 0.468 0.140 (multiplicity 1)
O 0.230 0.897 0.196 (multiplicity 1)
O 0.249 0.396 0.694 (multiplicity 1)
O 0.376 0.655 0.781 (multiplicity 1)
O 0.381 0.555 0.382 (multiplicity 1)
O 0.382 0.161 0.283 (multiplicity 1)
O 0.412 0.062 0.891 (multiplicity 1)
O 0.557 0.217 0.540 (multiplicity 1)
O 0.557 0.787 0.448 (multiplicity 1)
O 0.574 0.712 0.051 (multiplicity 1)
O 0.579 0.297 0.952 (multiplicity 1)
O 0.693 0.957 0.147 (multiplicity 1)
O 0.713 0.408 0.196 (multiplicity 1)
O 0.716 0.465 0.643 (multiplicity 1)
O 0.727 0.897 0.692 (multiplicity 1)
O 0.868 0.051 0.389 (multiplicity 1)
O 0.876 0.654 0.280 (multiplicity 1)
O 0.885 0.567 0.889 (multiplicity 1)
O 0.887 0.149 0.779 (multiplicity 1)

Principal peaks in the range 15° ≤ 2θ ≤ 90°, sorted by position:
index, Position (°2θ), d/Å, Rel. int.
1 -1 1, 23.72, 3.751, 29
1 1 3, 32.18, 2.782, 41
2 0 0, 32.37, 2.766, 43
1 3 1, 32.57, 2.749, 43
-1 1 3, 35.22, 2.548, 100
-1 3 1, 35.36, 2.539, 49
1 3 5, 52.60, 1.740, 22
3 -1 1, 52.69, 1.737, 23
2 4 0, 53.10, 1.725, 42
1 1 -5, 63.12, 1.473, 21
-2 4 4, 63.32, 1.469, 22
1 -5 1, 63.44, 1.466, 22